1.
Starting from a crystal structure in Alexandria, relaxed with PBE+U, the powder diffractogram of PmFe2SnO6 was computed for Cu Kα (weighted mean of Kα1 and Kα2).

Most intense lines, 2θ = 10–80°, in order of falling intensity:
2θ/deg  I_rel
33.3  100.0
31.3  71.8
30.9  37.5
22.6  21.4
22.9  21.1
59.5  21.0
22.5  20.2
45.9  15.2
46.2  14.7
46.7  14.5

```
10
Lattice="5.377 0.000 0.000 2.676 4.665 0.000 0.065 3.044 4.853" Properties=species:S:1:pos:R:3 pbc="T T T"
Pm 0.000 0.000 0.000
Fe 2.736 4.596 3.118
Fe 5.373 3.054 0.920
Sn 5.411 6.152 2.744
O 0.822 1.343 1.906
O 2.235 2.997 4.155
O 3.567 3.199 1.868
O 4.361 4.922 4.135
O 6.499 4.584 1.900
O 6.955 5.827 4.197
```

2.
Starting from a crystal structure in Alexandria, relaxed with PBE+U, the powder diffractogram of PmV2FeO8 was computed for Cu Kα (weighted mean of Kα1 and Kα2).

Most intense lines, 2θ = 10–80°, in order of falling intensity:
2θ/deg  I_rel
25.2  100.0
33.6  65.5
50.0  57.3
18.9  29.8
63.0  17.4
51.6  16.3
35.9  16.3
40.8  13.6
17.7  13.0
58.3  12.0

```
12
Lattice="-3.540 3.540 3.150 3.540 -3.540 3.150 3.540 3.540 -3.150" Properties=species:S:1:pos:R:3 pbc="T T T"
Pm 0.000 0.000 0.000
V 3.540 0.000 1.575
V 0.000 0.000 3.150
Fe 0.000 3.540 1.575
O 2.266 0.000 0.405
O 4.814 0.000 0.405
O 3.540 2.148 -1.066
O 3.540 -1.274 2.745
O 0.000 1.391 2.083
O 3.540 1.274 2.745
O 2.148 3.540 1.066
O 1.391 0.000 4.216
```

3.
Starting from a crystal structure in Alexandria, relaxed with PBE+U, the powder diffractogram of Pr2Fe3O8 was computed for Cu Kα (weighted mean of Kα1 and Kα2).

Most intense lines, 2θ = 10–80°, in order of falling intensity:
2θ/deg  I_rel
31.9  100.0
14.5  41.6
32.7  40.6
57.9  35.9
47.0  31.7
44.4  19.0
66.6  17.5
56.3  17.1
39.7  16.6
27.3  14.9

```
13
Lattice="3.869 0.000 0.000 0.000 3.869 0.000 0.000 0.000 12.230" Properties=species:S:1:pos:R:3 pbc="T T T"
Pr 0.000 0.000 2.129
Pr 0.000 0.000 10.102
Fe 1.935 1.935 0.000
Fe 1.935 1.935 3.926
Fe 1.935 1.935 8.304
O 0.000 1.935 0.000
O 0.000 1.935 3.834
O 0.000 1.935 8.396
O 1.935 0.000 0.000
O 1.935 0.000 3.834
O 1.935 0.000 8.396
O 1.935 1.935 1.967
O 1.935 1.935 10.264
```

4.
Starting from a crystal structure in Alexandria, relaxed with PBE+U, the powder diffractogram of Fe3PtO7 was computed for Cu Kα (weighted mean of Kα1 and Kα2).

Most intense lines, 2θ = 10–80°, in order of falling intensity:
2θ/deg  I_rel
31.4  100.0
31.9  94.7
15.6  66.9
52.9  66.8
62.7  37.3
30.5  34.5
36.8  32.8
63.5  25.2
18.1  23.2
52.4  17.0

```
22
Lattice="3.493 -4.904 0.000 3.493 4.904 0.000 0.000 0.000 6.831" Properties=species:S:1:pos:R:3 pbc="T T T"
Fe 0.000 0.000 0.000
Fe 0.000 0.000 3.415
Fe 1.833 2.336 5.123
Fe 5.152 2.336 5.123
Fe 1.833 -2.336 1.708
Fe 5.152 -2.336 1.708
Pt 3.493 0.000 0.000
Pt 3.493 0.000 3.415
O 3.493 3.559 1.708
O 3.493 3.560 5.123
O 1.962 1.249 0.202
O 1.962 1.249 3.213
O 3.493 0.981 5.123
O 1.962 -1.249 3.618
O 1.962 -1.249 6.628
O 5.024 1.249 0.202
O 5.024 1.249 3.213
O 3.493 -0.981 1.708
O 5.024 -1.249 3.618
O 5.024 -1.249 6.628
O 3.493 -3.560 1.708
O 3.493 -3.559 5.123
```

5.
Starting from a crystal structure in Alexandria, relaxed with PBE+U, the powder diffractogram of PuScFe2O6 was computed for Cu Kα (weighted mean of Kα1 and Kα2).

Most intense lines, 2θ = 10–80°, in order of falling intensity:
2θ/deg  I_rel
30.9  100.0
32.9  94.8
19.8  89.0
18.2  56.1
31.3  48.4
20.0  45.4
33.1  45.1
22.4  42.1
22.6  40.1
22.5  38.1

```
10
Lattice="5.414 0.000 0.000 2.701 4.716 0.000 2.633 1.545 4.867" Properties=species:S:1:pos:R:3 pbc="T T T"
Pu 0.000 0.000 0.000
Sc 5.382 3.120 2.492
Fe 2.672 1.562 1.888
Fe 8.046 4.623 4.368
O 3.518 2.929 3.418
O 4.524 4.584 1.096
O 6.192 4.769 3.506
O 4.593 1.692 1.054
O 6.425 1.582 3.475
O 6.977 3.159 1.003
```

6.
Starting from a crystal structure in Alexandria, relaxed with PBE+U, the powder diffractogram of Y2PuFeO8 was computed for Cu Kα (weighted mean of Kα1 and Kα2).

Most intense lines, 2θ = 10–80°, in order of falling intensity:
2θ/deg  I_rel
31.9  100.0
24.6  66.2
26.1  53.2
48.1  49.0
22.2  46.4
49.8  36.4
13.0  29.7
36.1  26.9
62.3  24.0
17.8  16.2

```
12
Lattice="3.420 -3.618 0.000 3.420 3.618 0.000 0.000 0.000 6.802" Properties=species:S:1:pos:R:3 pbc="T T T"
Y 0.000 0.000 1.619
Y 0.000 0.000 5.183
Pu 3.420 0.000 3.401
Fe 3.420 0.000 0.000
O 1.429 0.000 3.401
O 1.503 0.000 0.000
O 3.420 1.303 1.827
O 3.420 1.303 4.976
O 3.420 -1.303 1.827
O 3.420 -1.303 4.976
O 5.337 0.000 0.000
O 5.411 0.000 3.401
```

7.
Starting from a crystal structure in Alexandria, relaxed with PBE+U, the powder diffractogram of Rb5FeO4 was computed for Cu Kα (weighted mean of Kα1 and Kα2).

Most intense lines, 2θ = 10–80°, in order of falling intensity:
2θ/deg  I_rel
32.8  100.0
28.6  74.2
26.4  55.4
36.8  47.1
31.2  46.5
33.8  35.1
27.0  33.2
27.6  32.2
29.2  29.6
28.2  24.2

```
40
Lattice="11.013 0.000 0.000 0.000 12.129 0.000 -0.961 0.000 7.053" Properties=species:S:1:pos:R:3 pbc="T T T"
Rb -0.355 1.682 3.005
Rb -0.836 4.383 6.531
Rb 0.545 0.815 6.670
Rb 1.025 5.249 3.143
Rb 2.432 8.538 3.490
Rb 1.951 9.656 7.017
Rb 3.199 2.124 4.695
Rb 3.679 3.941 1.169
Rb 5.151 7.065 1.581
Rb 4.670 11.129 5.107
Rb 5.382 1.001 1.945
Rb 4.902 5.064 5.472
Rb 6.373 8.188 5.884
Rb 6.854 10.006 2.357
Rb 8.101 2.473 0.036
Rb 7.621 3.592 3.562
Rb 9.027 6.880 3.909
Rb 9.508 11.314 0.383
Rb 10.888 7.747 0.521
Rb 10.408 10.447 4.048
Fe 1.870 6.468 6.184
Fe 2.350 11.726 2.657
Fe 7.702 0.403 4.395
Fe 8.183 5.661 0.869
O 0.453 7.316 5.182
O 0.934 10.878 1.656
O 2.391 6.520 1.019
O 1.910 11.674 4.545
O 2.549 1.465 2.133
O 2.069 4.600 5.659
O 3.538 7.436 5.894
O 4.019 10.758 2.367
O 6.034 1.371 4.685
O 6.514 4.694 1.159
O 7.983 7.530 1.394
O 7.503 10.664 4.920
O 8.142 0.455 2.507
O 7.662 5.610 6.034
O 9.119 1.251 5.397
O 9.599 4.813 1.870
```

8.
Starting from a crystal structure in Alexandria, relaxed with PBE+U, the powder diffractogram of Rb4FeO4 was computed for Cu Kα (weighted mean of Kα1 and Kα2).

Most intense lines, 2θ = 10–80°, in order of falling intensity:
2θ/deg  I_rel
28.4  100.0
29.3  76.2
31.2  71.4
27.7  38.5
33.5  31.7
27.1  31.4
34.6  30.4
28.9  29.2
35.8  28.5
34.8  25.9

```
18
Lattice="6.582 0.000 0.000 1.958 6.461 0.000 1.622 2.524 9.364" Properties=species:S:1:pos:R:3 pbc="T T T"
Rb 2.510 2.402 4.528
Rb 2.607 2.945 0.867
Rb 3.215 2.462 8.145
Rb 4.043 5.341 6.119
Rb 6.119 3.644 3.245
Rb 6.947 6.523 1.219
Rb 7.555 6.039 8.497
Rb 7.652 6.582 4.837
Fe 3.653 5.931 2.430
Fe 6.509 3.054 6.935
O 0.902 1.120 2.189
O 2.208 4.858 2.818
O 5.049 6.286 3.577
O 4.522 4.926 1.142
O 5.640 4.059 8.223
O 5.112 2.699 5.787
O 7.954 4.126 6.546
O 9.260 7.864 7.175
```

9.
Starting from a crystal structure in Alexandria, relaxed with PBE+U, the powder diffractogram of Rb5FeO4 was computed for Cu Kα (weighted mean of Kα1 and Kα2).

Most intense lines, 2θ = 10–80°, in order of falling intensity:
2θ/deg  I_rel
32.3  100.0
30.6  92.1
28.1  63.6
14.1  40.9
24.1  39.9
37.3  33.8
28.9  26.0
29.5  20.1
40.3  17.7
34.9  16.7

```
40
Lattice="11.961 0.000 0.000 0.000 11.252 0.000 0.000 0.000 7.401" Properties=species:S:1:pos:R:3 pbc="T T T"
Rb 0.742 0.569 1.552
Rb 0.742 5.057 1.552
Rb 2.254 1.171 5.473
Rb 2.254 4.455 5.473
Rb 2.358 8.439 4.768
Rb 3.623 2.813 1.068
Rb 3.726 6.797 1.772
Rb 3.726 10.082 1.772
Rb 5.239 6.196 5.252
Rb 5.239 10.683 5.252
Rb 6.723 0.569 2.149
Rb 6.723 5.057 2.149
Rb 8.235 1.171 5.628
Rb 8.235 4.455 5.628
Rb 8.338 8.439 6.332
Rb 9.604 2.813 2.632
Rb 9.707 6.797 1.928
Rb 9.707 10.082 1.928
Rb 11.220 6.196 5.849
Rb 11.220 10.683 5.849
Fe 0.976 8.439 0.380
Fe 5.005 2.813 4.080
Fe 6.957 8.439 3.321
Fe 10.985 2.813 7.021
O 0.923 2.813 0.014
O 1.358 8.439 2.244
O 1.759 6.822 6.982
O 1.759 10.057 6.982
O 4.222 1.196 3.281
O 4.222 4.430 3.281
O 4.622 2.813 5.944
O 5.058 8.439 3.714
O 6.903 2.813 3.686
O 7.339 8.439 1.457
O 7.740 6.822 4.119
O 7.740 10.057 4.119
O 10.202 1.196 0.419
O 10.202 4.430 0.419
O 10.603 2.813 5.157
O 11.039 8.439 7.387
```